(1)
Sm10Sb3Se7: calculated powder diffractogram (Cu Ka), based on a PBE-relaxed structure.
Kinematic intensities with the Lorentz-polarization factor, no thermal factor.

Principal peaks in the range 10 to 90 degrees two-theta, in order of rising 2θ:
2θ (°), I/Imax
29.59, 100
42.15, 13
42.29, 25
42.43, 37
52.25, 7
52.45, 7
52.65, 13
61.42, 12
69.36, 6
69.56, 11
77.55, 6
77.66, 8

Atomic structure:
a = 11.2633 Å, b = 11.2633 Å, c = 7.3902 Å
α = 96.22°, β = 96.22°, γ = 141.56°
Fractional coordinates of all 20 atoms:
Sm 0.0500 0.4425 0.2364
Sm 0.1468 0.3479 0.7479
Sm 0.2470 0.2470 0.2565
Sm 0.3479 0.1468 0.7479
Sm 0.4425 0.0500 0.2364
Sm 0.5575 0.9500 0.7636
Sm 0.6521 0.8532 0.2521
Sm 0.7530 0.7530 0.7435
Sm 0.8532 0.6521 0.2521
Sm 0.9500 0.5575 0.7636
Sb 0.2034 0.7966 0.5000
Sb 0.5000 0.5000 0.0000
Sb 0.7966 0.2034 0.5000
Se 0.0000 0.0000 0.5000
Se 0.0967 0.9033 0.0000
Se 0.3000 0.7000 0.0000
Se 0.4002 0.5998 0.5000
Se 0.5998 0.4002 0.5000
Se 0.7000 0.3000 0.0000
Se 0.9033 0.0967 0.0000

=====

(2)
Sm4SbSe3: calculated powder diffractogram (Cu Ka), based on a PBE-relaxed structure.
Kinematic intensities with the Lorentz-polarization factor, no thermal factor.

Principal peaks in the range 10 to 90 degrees two-theta, in order of rising 2θ:
2θ (°), I/Imax
23.37, 1
25.64, 12
27.74, 1
29.69, 100
42.49, 75
50.29, 6
52.69, 26
61.65, 12
67.89, 2
69.91, 34
77.75, 25
83.47, 2

Atomic structure:
a = 4.2548 Å, b = 6.0148 Å, c = 8.5149 Å
α = 90.00°, β = 90.00°, γ = 90.00°
Fractional coordinates of all 8 atoms:
Sm 0.0000 0.0000 0.0000
Sm 0.0000 0.0000 0.5000
Sm 0.5000 0.5000 0.2401
Sm 0.5000 0.5000 0.7599
Sb 0.0000 0.5000 0.5000
Se 0.0000 0.5000 0.0000
Se 0.5000 0.0000 0.2480
Se 0.5000 0.0000 0.7520

=====

(3)
Sn3Sb3Se8: calculated powder diffractogram (Cu Ka), based on a PBE-relaxed structure.
Kinematic intensities with the Lorentz-polarization factor, no thermal factor.

Principal peaks in the range 10 to 90 degrees two-theta, in order of rising 2θ:
2θ (°), I/Imax
20.03, 22
23.63, 42
24.37, 58
25.79, 33
29.72, 100
37.82, 21
38.80, 39
40.71, 98
44.28, 75
51.21, 20
61.71, 27
76.59, 30

Atomic structure:
a = 8.2316 Å, b = 8.2316 Å, c = 8.2316 Å
α = 65.16°, β = 65.16°, γ = 65.16°
Fractional coordinates of all 14 atoms:
Sn 0.0000 0.5000 0.5000
Sn 0.5000 0.0000 0.5000
Sn 0.5000 0.5000 0.0000
Sb 0.1141 0.1141 0.1141
Sb 0.5000 0.5000 0.5000
Sb 0.8859 0.8859 0.8859
Se 0.2496 0.2496 0.2496
Se 0.2630 0.2630 0.7295
Se 0.2630 0.7295 0.2630
Se 0.2705 0.7370 0.7370
Se 0.7295 0.2630 0.2630
Se 0.7370 0.2705 0.7370
Se 0.7370 0.7370 0.2705
Se 0.7504 0.7504 0.7504

=====

(4)
SnSbSe: calculated powder diffractogram (Cu Ka), based on a PBE-relaxed structure.
Kinematic intensities with the Lorentz-polarization factor, no thermal factor.

Principal peaks in the range 10 to 90 degrees two-theta, in order of rising 2θ:
2θ (°), I/Imax
20.99, 11
26.18, 20
29.50, 100
35.77, 15
41.42, 28
42.99, 40
45.50, 14
53.00, 19
61.22, 9
61.50, 8
70.53, 17
77.71, 9

Atomic structure:
a = 12.9271 Å, b = 12.9271 Å, c = 12.9271 Å
α = 18.73°, β = 18.73°, γ = 18.73°
Fractional coordinates of all 6 atoms:
Sn 0.0833 0.0833 0.0833
Sn 0.9167 0.9167 0.9167
Sb 0.3544 0.3544 0.3544
Sb 0.6456 0.6456 0.6456
Se 0.2141 0.2141 0.2141
Se 0.7859 0.7859 0.7859

=====

(5)
Y4SnSbSe2: calculated powder diffractogram (Cu Ka), based on a PBE-relaxed structure.
Kinematic intensities with the Lorentz-polarization factor, no thermal factor.

Principal peaks in the range 10 to 90 degrees two-theta, in order of rising 2θ:
2θ (°), I/Imax
12.76, 2
24.51, 2
29.69, 100
32.43, 2
42.48, 74
52.65, 20
52.78, 6
61.64, 12
69.86, 22
69.96, 11
77.69, 18
77.86, 6

Atomic structure:
a = 7.3587 Å, b = 4.2601 Å, c = 7.3759 Å
α = 90.00°, β = 109.47°, γ = 90.00°
Fractional coordinates of all 8 atoms:
Y 0.2434 0.0000 0.2450
Y 0.2439 0.5000 0.7503
Y 0.7561 0.5000 0.2497
Y 0.7566 0.0000 0.7550
Sn 0.5000 0.0000 0.0000
Sb 0.5000 0.5000 0.5000
Se 0.0000 0.0000 0.5000
Se 0.0000 0.5000 0.0000

=====

(6)
SrSb2Se2: calculated powder diffractogram (Cu Ka), based on a PBE-relaxed structure.
Kinematic intensities with the Lorentz-polarization factor, no thermal factor.

Principal peaks in the range 10 to 90 degrees two-theta, in order of rising 2θ:
2θ (°), I/Imax
21.01, 30
29.89, 32
30.04, 43
31.89, 100
33.51, 37
40.01, 10
43.22, 19
49.49, 41
53.15, 12
53.43, 12
55.77, 17
80.59, 10

Atomic structure:
a = 8.4557 Å, b = 8.4557 Å, c = 4.1867 Å
α = 90.00°, β = 90.00°, γ = 90.00°
Fractional coordinates of all 10 atoms:
Sr 0.0000 0.0000 0.0000
Sr 0.5000 0.5000 0.0000
Sb 0.1994 0.3006 0.5000
Sb 0.3006 0.8006 0.5000
Sb 0.6994 0.1994 0.5000
Sb 0.8006 0.6994 0.5000
Se 0.1556 0.6556 0.0000
Se 0.3444 0.1556 0.0000
Se 0.6556 0.8444 0.0000
Se 0.8444 0.3444 0.0000